For Ir2Ru3W2, the GGA-PBE geometry in Alexandria gives the simulated powder diffractogram in this record (Cu Kα (λ = 1.5418 Å)).
Peak positions follow from Bragg's law for the DFT cell and can differ from measured ones.

Largest 6 diffraction maxima, by intensity, 15 to 90 degrees two-theta:
2θ = 40.03°, I 100
2θ = 40.19°, I 100
2θ = 45.91°, I 33
2θ = 46.57°, I 33
2θ = 47.47°, I 30
2θ = 67.47°, I 21

Cell and atoms:
```
data_Ir2Ru3W2
_symmetry_space_group_name_H-M 'C 1 2/m 1'
_symmetry_Int_Tables_number 12
_cell_length_a 8.643
_cell_length_b 3.901
_cell_length_c 6.220
_cell_angle_alpha 90.00
_cell_angle_beta 99.63
_cell_angle_gamma 90.00
loop_
_symmetry_equiv_pos_as_xyz
'x,y,z'
'-x,-y,-z'
'-x,y,-z'
'x,-y,z'
'x+1/2,y+1/2,z'
'-x+1/2,-y+1/2,-z'
'-x+1/2,y+1/2,-z'
'x+1/2,-y+1/2,z'
loop_
_atom_site_label
_atom_site_type_symbol
_atom_site_fract_x
_atom_site_fract_y
_atom_site_fract_z
_atom_site_occupancy
Ir1 Ir 0.140 0.000 0.425 1
Ru1 Ru 0.000 0.000 0.000 1
Ru2 Ru 0.082 0.500 0.727 1
W1 W 0.205 0.500 0.153 1
```